KAc3: computed powder diffractogram (Cu Kα), based on the PBE geometry in the Materials Project.
Lines closer than 0.1° are merged.

Main lines, by angle (2θ from 5° to 70°):
| index | Position (°2θ) | I_rel |
| --- | --- | --- |
| 1 1 1 | 16.72 | 13 |
| 2 2 0 | 27.46 | 100 |
| 4 0 0 | 39.23 | 20 |
| 4 2 2 | 48.56 | 43 |
| 4 4 0 | 56.69 | 14 |
| 6 2 0 | 64.12 | 19 |

Structure:
```
16
Lattice="9.1854 0.0000 0.0000 0.0000 9.1854 0.0000 0.0000 0.0000 9.1854" Properties=species:S:1:pos:R:3 pbc="T T T"
K 0.0000 0.0000 0.0000
K 0.0000 4.5927 4.5927
K 4.5927 0.0000 4.5927
K 4.5927 4.5927 0.0000
Ac 0.0000 0.0000 4.5927
Ac 0.0000 4.5927 0.0000
Ac 2.2963 2.2963 2.2963
Ac 2.2963 2.2963 6.8890
Ac 2.2963 6.8890 2.2963
Ac 2.2963 6.8890 6.8890
Ac 4.5927 0.0000 0.0000
Ac 4.5927 4.5927 4.5927
Ac 6.8890 2.2963 2.2963
Ac 6.8890 2.2963 6.8890
Ac 6.8890 6.8890 2.2963
Ac 6.8890 6.8890 6.8890
```



KAcO3: computed powder diffractogram (Cu Kα), based on the PBE geometry in the Materials Project.
Lines closer than 0.1° are merged.

Main lines, by angle (2θ from 5° to 70°):
| index | Position (°2θ) | I_rel |
| --- | --- | --- |
| 1 0 0 | 19.07 | 74 |
| 1 1 0 | 27.10 | 100 |
| 2 0 0 | 38.69 | 32 |
| 2 1 0 | 43.48 | 37 |
| 2 1 1 | 47.88 | 44 |
| 2 2 0 | 55.88 | 21 |

Structure:
```
5
Lattice="4.6541 0.0000 0.0000 0.0000 4.6541 0.0000 0.0000 0.0000 4.6541" Properties=species:S:1:pos:R:3 pbc="T T T"
K 0.0000 0.0000 0.0000
Ac 2.3270 2.3270 2.3270
O 0.0000 2.3270 2.3270
O 2.3270 0.0000 2.3270
O 2.3270 2.3270 0.0000
```



KAcTe2: computed powder diffractogram (Cu Kα), based on the PBE geometry in the Materials Project.
Lines closer than 0.1° are merged.

Main lines, by angle (2θ from 5° to 70°):
| index | Position (°2θ) | I_rel |
| --- | --- | --- |
| 1 1 1 | 18.70 | 26 |
| 2 2 0 | 30.77 | 100 |
| 3 1 1 | 36.25 | 16 |
| 4 0 0 | 44.07 | 19 |
| 4 2 2 | 54.71 | 39 |
| 4 4 0 | 64.09 | 12 |

Structure:
```
16
Lattice="8.2187 0.0000 0.0000 0.0000 8.2187 0.0000 0.0000 0.0000 8.2187" Properties=species:S:1:pos:R:3 pbc="T T T"
K 0.0000 0.0000 0.0000
K 0.0000 4.1093 4.1093
K 4.1093 0.0000 4.1093
K 4.1093 4.1093 0.0000
Ac 0.0000 0.0000 4.1093
Ac 0.0000 4.1093 0.0000
Ac 4.1093 0.0000 0.0000
Ac 4.1093 4.1093 4.1093
Te 2.0547 2.0547 2.0547
Te 2.0547 2.0547 6.1640
Te 2.0547 6.1640 2.0547
Te 2.0547 6.1640 6.1640
Te 6.1640 2.0547 2.0547
Te 6.1640 2.0547 6.1640
Te 6.1640 6.1640 2.0547
Te 6.1640 6.1640 6.1640
```



AcLa3: computed powder diffractogram (Cu Kα), based on the PBE geometry in the Materials Project.
Lines closer than 0.1° are merged.

Main lines, by angle (2θ from 5° to 70°):
| index | Position (°2θ) | I_rel |
| --- | --- | --- |
| 2 0 0 | 26.96 | 23 |
| 0 0 2 | 28.53 | 27 |
| 2 0 1 | 30.57 | 100 |
| 2 2 0 | 47.62 | 20 |
| 2 0 3 | 51.82 | 23 |
| 2 2 2 | 56.45 | 24 |

Structure:
```
8
Lattice="7.6380 0.0000 0.0000 -3.8190 6.6147 0.0000 0.0000 0.0000 6.2578" Properties=species:S:1:pos:R:3 pbc="T T T"
Ac 0.0000 4.4098 1.5644
Ac 3.8190 2.2049 4.6933
La 0.0000 2.1629 4.6933
La -1.9459 5.5333 4.6933
La 1.8731 1.0814 1.5644
La 1.9459 5.5333 4.6933
La 5.7649 1.0814 1.5644
La 3.8190 4.4519 1.5644
```



AcLa: computed powder diffractogram (Cu Kα), based on the PBE geometry in the Materials Project.
Lines closer than 0.1° are merged.

Main lines, by angle (2θ from 5° to 70°):
| index | Position (°2θ) | I_rel |
| --- | --- | --- |
| 1 0 0 | 26.21 | 26 |
| 0 0 2 | 28.43 | 25 |
| 1 0 1 | 29.88 | 100 |
| 1 1 0 | 46.24 | 20 |
| 1 0 3 | 51.26 | 23 |
| 1 1 2 | 55.18 | 24 |

Structure:
```
2
Lattice="3.9268 0.0000 0.0000 -1.9634 3.4007 0.0000 0.0000 0.0000 6.2778" Properties=species:S:1:pos:R:3 pbc="T T T"
Ac 0.0000 0.0000 0.0000
La 1.9634 1.1336 3.1389
```



AcLa3: computed powder diffractogram (Cu Kα), based on the PBE geometry in the Materials Project.
Lines closer than 0.1° are merged.

Main lines, by angle (2θ from 5° to 70°):
| index | Position (°2θ) | I_rel |
| --- | --- | --- |
| 1 1 2 | 28.73 | 100 |
| 0 0 4 | 33.21 | 17 |
| 2 0 0 | 33.33 | 34 |
| 2 2 0 | 47.80 | 37 |
| 1 1 6 | 56.61 | 15 |
| 3 1 2 | 56.78 | 30 |

Structure:
```
8
Lattice="5.3760 0.0000 0.0000 0.0000 5.3760 0.0000 0.0000 0.0000 10.7912" Properties=species:S:1:pos:R:3 pbc="T T T"
Ac 0.0000 0.0000 0.0000
Ac 2.6880 2.6880 5.3956
La 0.0000 0.0000 5.3956
La 0.0000 2.6880 2.6978
La 0.0000 2.6880 8.0934
La 2.6880 0.0000 2.6978
La 2.6880 0.0000 8.0934
La 2.6880 2.6880 0.0000
```



AcLaMg2: computed powder diffractogram (Cu Kα), based on the PBE geometry in the Materials Project.
Lines closer than 0.1° are merged.

Main lines, by angle (2θ from 5° to 70°):
| index | Position (°2θ) | I_rel |
| --- | --- | --- |
| 2 0 0 | 22.02 | 66 |
| 2 2 0 | 31.35 | 100 |
| 2 2 2 | 38.64 | 21 |
| 4 0 0 | 44.92 | 19 |
| 4 2 0 | 50.57 | 30 |
| 4 2 2 | 55.80 | 40 |

Structure:
```
16
Lattice="8.0716 0.0000 0.0000 0.0000 8.0716 0.0000 0.0000 0.0000 8.0716" Properties=species:S:1:pos:R:3 pbc="T T T"
Ac 0.0000 0.0000 0.0000
Ac 0.0000 4.0358 4.0358
Ac 4.0358 0.0000 4.0358
Ac 4.0358 4.0358 0.0000
La 0.0000 0.0000 4.0358
La 0.0000 4.0358 0.0000
La 4.0358 0.0000 0.0000
La 4.0358 4.0358 4.0358
Mg 2.0179 2.0179 2.0179
Mg 2.0179 2.0179 6.0537
Mg 2.0179 6.0537 2.0179
Mg 2.0179 6.0537 6.0537
Mg 6.0537 2.0179 2.0179
Mg 6.0537 2.0179 6.0537
Mg 6.0537 6.0537 2.0179
Mg 6.0537 6.0537 6.0537
```



LiAc3: computed powder diffractogram (Cu Kα), based on the PBE geometry in the Materials Project.
Lines closer than 0.1° are merged.

Main lines, by angle (2θ from 5° to 70°):
| index | Position (°2θ) | I_rel |
| --- | --- | --- |
| 1 0 0 | 16.30 | 29 |
| 1 1 0 | 23.13 | 26 |
| 1 1 1 | 28.43 | 100 |
| 2 0 0 | 32.94 | 51 |
| 2 2 0 | 47.28 | 38 |
| 3 1 1 | 56.09 | 47 |

Structure:
```
4
Lattice="5.4378 0.0000 0.0000 0.0000 5.4378 0.0000 0.0000 0.0000 5.4378" Properties=species:S:1:pos:R:3 pbc="T T T"
Li 0.0000 0.0000 0.0000
Ac 0.0000 2.7189 2.7189
Ac 2.7189 0.0000 2.7189
Ac 2.7189 2.7189 0.0000
```